This entry pairs a crystal structure of RbScAgBr6 with its calculated powder XRD pattern. Radiation: Cu Ka. Structure: the GGA-PBE geometry in Alexandria.
Peak positions follow from Bragg's law for the DFT cell and can differ from measured ones.

Structural model:
Cell: 7.1472 7.1472 7.5367 Å, 90.00 90.00 120.00°
Space group P312 (No. 149)
Symmetry-distinct sites (fractional):
Rb1 0.0000 0.0000 0.0000 x1
Sc1 0.3333 0.6667 0.5000 x1
Ag1 0.6667 0.3333 0.5000 x1
Br1 0.0131 0.3895 0.7097 x6

Top 8 peaks for 10 to 80 degrees two-theta, low angle first:
two_theta	I (rel.)
11.74	32
18.55	66
27.63	100
34.59	84
40.37	32
43.88	33
44.06	23
54.85	21